# 1
For Er2Mn3Si5, a PBE-relaxed structure gives the calculated PXRD pattern in this record (Cu Kα (λ = 1.5418 Å)).
No peak broadening, texture or thermal motion is included.

Top 10 peaks for 10° ≤ 2θ ≤ 90°, sorted by position:
2θ (°)	I/Imax
18.82	20
25.10	29
31.56	100
33.28	24
35.09	30
38.17	28
38.50	28
38.99	44
41.37	44
53.45	21

Cell and atoms:
a b c (Å): 10.5435 10.5435 5.3850
angles (deg): 90.00 90.00 90.00
Element x y z (fractional)
Er1 0.0760 0.2362 0.0000
Er2 0.2362 0.9240 0.0000
Er3 0.2638 0.4240 0.5000
Er4 0.4240 0.7362 0.5000
Er5 0.5760 0.2638 0.5000
Er6 0.7362 0.5760 0.5000
Er7 0.7638 0.0760 0.0000
Er8 0.9240 0.7638 0.0000
Mn1 0.0000 0.5000 0.2500
Mn2 0.0000 0.5000 0.7500
Mn3 0.1210 0.8545 0.5000
Mn4 0.1455 0.1210 0.5000
Mn5 0.3545 0.6210 0.0000
Mn6 0.3790 0.3545 0.0000
Mn7 0.5000 0.0000 0.2500
Mn8 0.5000 0.0000 0.7500
Mn9 0.6210 0.6455 0.0000
Mn10 0.6455 0.3790 0.0000
Mn11 0.8545 0.8790 0.5000
Mn12 0.8790 0.1455 0.5000
Si1 0.0000 0.0000 0.2553
Si2 0.0000 0.0000 0.7447
Si3 0.0250 0.3147 0.5000
Si4 0.1745 0.6745 0.2500
Si5 0.1745 0.6745 0.7500
Si6 0.1853 0.4750 0.0000
Si7 0.3147 0.9750 0.5000
Si8 0.3255 0.1745 0.2500
Si9 0.3255 0.1745 0.7500
Si10 0.4750 0.8147 0.0000
Si11 0.5000 0.5000 0.2447
Si12 0.5000 0.5000 0.7553
Si13 0.5250 0.1853 0.0000
Si14 0.6745 0.8255 0.2500
Si15 0.6745 0.8255 0.7500
Si16 0.6853 0.0250 0.5000
Si17 0.8147 0.5250 0.0000
Si18 0.8255 0.3255 0.2500
Si19 0.8255 0.3255 0.7500
Si20 0.9750 0.6853 0.5000

# 2
For La6Tb2DyTm, a PBE-relaxed structure gives the calculated PXRD pattern in this record (Cu Kα (λ = 1.5418 Å)).
No peak broadening, texture or thermal motion is included.

Top 10 peaks for 10° ≤ 2θ ≤ 90°, sorted by position:
2θ (°)	I/Imax
28.01	48
28.13	33
28.87	48
29.72	100
30.03	22
30.93	68
31.17	85
31.67	30
32.19	32
56.06	26

Cell and atoms:
a b c (Å): 9.0424 9.0424 9.3197
angles (deg): 91.99 91.99 113.87
Element x y z (fractional)
La1 0.0175 0.4550 0.8179
La2 0.0819 0.7695 0.5812
La3 0.2305 0.9181 0.9188
La4 0.2914 0.5546 0.3941
La5 0.4454 0.7086 0.1059
La6 0.4550 0.0175 0.3179
La7 0.5450 0.9825 0.6821
La8 0.5546 0.2914 0.8941
La9 0.7086 0.4454 0.6059
La10 0.7695 0.0819 0.0812
La11 0.9181 0.2305 0.4188
La12 0.9825 0.5450 0.1821
Tb1 0.2039 0.2910 0.0636
Tb2 0.2910 0.2039 0.5636
Tb3 0.7090 0.7961 0.4364
Tb4 0.7961 0.7090 0.9364
Dy1 0.0555 0.9445 0.2500
Dy2 0.9445 0.0555 0.7500
Tm1 0.4199 0.5801 0.7500
Tm2 0.5801 0.4199 0.2500

# 3
For Rb2Y4Nb, a PBE-relaxed structure gives the calculated PXRD pattern in this record (Cu Kα (λ = 1.5418 Å)).
No peak broadening, texture or thermal motion is included.

Top 10 peaks for 10° ≤ 2θ ≤ 90°, sorted by position:
2θ (°)	I/Imax
16.25	44
22.22	45
23.89	35
26.19	51
28.34	88
31.62	100
41.51	57
45.33	36
53.10	27
54.32	51

Cell and atoms:
a b c (Å): 10.9638 10.9638 10.9638
angles (deg): 150.09 150.09 42.81
Element x y z (fractional)
Rb1 0.1636 0.1636 0.0000
Rb2 0.8364 0.8364 0.0000
Y1 0.0000 0.5000 0.5000
Y2 0.3681 0.3681 0.0000
Y3 0.5000 0.0000 0.5000
Y4 0.6319 0.6319 0.0000
Nb1 0.5000 0.5000 0.0000

# 4
For Ca4Cu3Sb8, a PBE-relaxed structure gives the calculated PXRD pattern in this record (Cu Kα (λ = 1.5418 Å)).
No peak broadening, texture or thermal motion is included.

Top 10 peaks for 10° ≤ 2θ ≤ 90°, sorted by position:
2θ (°)	I/Imax
17.96	20
27.12	58
30.12	46
34.06	100
41.03	50
46.99	35
49.88	30
59.42	16
70.30	21
79.00	15

Cell and atoms:
a b c (Å): 4.3994 4.3994 19.7519
angles (deg): 90.00 90.00 90.00
Element x y z (fractional)
Ca1 0.0000 0.5000 0.1168
Ca2 0.0000 0.5000 0.6228
Ca3 0.5000 0.0000 0.3772
Ca4 0.5000 0.0000 0.8832
Cu1 0.0000 0.0000 0.0000
Cu2 0.0000 0.0000 0.5000
Cu3 0.5000 0.5000 0.5000
Sb1 0.0000 0.0000 0.2447
Sb2 0.0000 0.0000 0.7553
Sb3 0.0000 0.5000 0.4248
Sb4 0.0000 0.5000 0.9343
Sb5 0.5000 0.0000 0.0657
Sb6 0.5000 0.0000 0.5752
Sb7 0.5000 0.5000 0.2492
Sb8 0.5000 0.5000 0.7508

# 5
For LiMg2Ge, a PBE-relaxed structure gives the calculated PXRD pattern in this record (Cu Kα (λ = 1.5418 Å)).
No peak broadening, texture or thermal motion is included.

Top 10 peaks for 10° ≤ 2θ ≤ 90°, sorted by position:
2θ (°)	I/Imax
16.87	41
25.30	79
29.90	36
34.12	16
34.92	17
37.96	33
39.20	100
39.91	34
49.06	18
69.41	18

Cell and atoms:
a b c (Å): 5.9751 4.7401 5.9832
angles (deg): 90.00 118.49 90.00
Element x y z (fractional)
Li1 0.1656 0.2500 0.3361
Li2 0.8344 0.7500 0.6639
Mg1 0.1573 0.2500 0.8484
Mg2 0.3465 0.7500 0.6566
Mg3 0.6535 0.2500 0.3434
Mg4 0.8427 0.7500 0.1516
Ge1 0.3376 0.7500 0.1630
Ge2 0.6624 0.2500 0.8370

# 6
For MnRe2As, a PBE-relaxed structure gives the calculated PXRD pattern in this record (Cu Kα (λ = 1.5418 Å)).
No peak broadening, texture or thermal motion is included.

Top 10 peaks for 10° ≤ 2θ ≤ 90°, sorted by position:
2θ (°)	I/Imax
10.66	63
37.06	14
39.71	100
41.23	14
43.61	24
47.37	59
66.43	22
71.98	16
80.26	13
82.89	23

Cell and atoms:
a b c (Å): 8.4592 8.4592 8.4592
angles (deg): 19.15 19.15 19.15
Element x y z (fractional)
Mn1 0.0000 0.0000 0.0000
Re1 0.2508 0.2508 0.2508
Re2 0.4971 0.4971 0.4971
As1 0.7420 0.7420 0.7420